Record 1
# Sr2LiO12
Calculated XRD peak list, CuKα. Input: a structure optimized by DFT (GGA-PBE).
Lines closer than 0.1° are merged.

a b c (Å): 5.1608 5.3438 8.6997
angles (deg): 87.00 78.53 76.32
Space group P1 (No. 1)
Unique sites:
Sr (0.0000, 0.0000, 0.0000)
Sr (0.1530, 0.6171, 0.5429)
Li (0.4990, 0.0121, 0.3489)
O (0.1008, 0.4935, 0.9652)
O (0.1469, 0.1195, 0.5530)
O (0.1759, 0.0051, 0.6935)
O (0.3209, 0.9606, 0.1831)
O (0.4923, 0.9404, 0.0424)
O (0.5154, 0.3740, 0.3266)
O (0.6128, 0.3329, 0.6723)
O (0.6314, 0.2896, 0.8126)
O (0.6876, 0.7555, 0.4750)
O (0.7210, 0.3636, 0.2104)
O (0.8693, 0.7682, 0.3363)
O (0.9967, 0.5951, 0.8413)

Main lines, in order of rising 2θ (2θ from 10° to 80°):
18.03 deg, I 51, hkl 1 0 0
19.01 deg, I 42, hkl 1 0 1
20.01 deg, I 100, hkl 0 1 1
20.84 deg, I 42, hkl 0 0 2
21.83 deg, I 24, hkl 1 1 0
30.26 deg, I 46, hkl 1 0 -2
32.76 deg, I 26, hkl 1 -1 2
35.16 deg, I 26, hkl 1 2 0
35.64 deg, I 27, hkl 1 2 1
35.98 deg, I 49, hkl 2 0 1
36.11 deg, I 39, hkl 0 2 1
38.62 deg, I 25, hkl 2 1 2

***

Record 2
# CsCu2Cl3
Calculated XRD peak list, CuKα. Input: a structure optimized by DFT (GGA-PBE).
Lines closer than 0.1° are merged.

a b c (Å): 9.7366 12.5065 5.3451
angles (deg): 90.00 90.00 90.00
Space group Cmcm (No. 63)
Unique sites:
Cs (0.0000, 0.1876, 0.2500)
Cu (0.1663, 0.5000, 0.0000)
Cl (0.0000, 0.3926, 0.7500)
Cl (0.2203, 0.1190, 0.7500)

Main lines, in order of rising 2θ (2θ from 10° to 80°):
20.24 deg, I 35, hkl 1 1 1
23.19 deg, I 100, hkl 1 3 0
28.41 deg, I 18, hkl 3 1 0
28.62 deg, I 79, hkl 2 2 1
28.66 deg, I 18, hkl 1 3 1
33.08 deg, I 21, hkl 3 1 1
36.56 deg, I 25, hkl 0 2 2
44.56 deg, I 29, hkl 0 4 2
45.80 deg, I 28, hkl 3 5 0
49.28 deg, I 21, hkl 3 3 2
50.73 deg, I 16, hkl 4 0 2
50.87 deg, I 18, hkl 1 5 2

***

Record 3
# TbMo6S8
Calculated XRD peak list, CuKα. Input: a structure optimized by DFT (GGA-PBE).
Lines closer than 0.1° are merged.

a b c (Å): 9.1532 9.1532 11.4036
angles (deg): 90.00 90.00 120.00
Space group R-3 (No. 148, hexagonal axes)
Unique sites:
Tb (0.0000, 0.0000, 0.0000)
Mo (0.0187, 0.1777, 0.4015)
S (0.0000, 0.0000, 0.2390)
S (0.0020, 0.6213, 0.7494)

Main lines, in order of rising 2θ (2θ from 10° to 80°):
13.60 deg, I 86, hkl 1 0 1
19.17 deg, I 81, hkl 0 1 2
19.40 deg, I 67, hkl 1 1 0
23.77 deg, I 39, hkl 0 2 1
30.86 deg, I 87, hkl 3 -1 1
33.80 deg, I 74, hkl 3 -2 2
41.19 deg, I 65, hkl 0 1 5
41.85 deg, I 98, hkl 4 -3 1
43.84 deg, I 75, hkl 2 1 4
44.15 deg, I 41, hkl 3 1 2
46.31 deg, I 100, hkl 4 -2 3
52.88 deg, I 35, hkl 1 4 0

***

Record 4
# Ce2CdIn
Calculated XRD peak list, CuKα. Input: a structure optimized by DFT (GGA-PBE).
Lines closer than 0.1° are merged.

a b c (Å): 7.6811 7.6811 7.6811
angles (deg): 90.00 90.00 90.00
Space group Fm-3m (No. 225)
Unique sites:
Ce (0.2500, 0.2500, 0.2500)
Cd (0.0000, 0.0000, 0.0000)
In (0.0000, 0.0000, 0.5000)

Main lines, in order of rising 2θ (2θ from 10° to 80°):
23.16 deg, I 1, hkl 2 0 0
32.98 deg, I 100, hkl 2 2 0
47.34 deg, I 18, hkl 4 0 0
53.34 deg, I 1, hkl 4 2 0
58.90 deg, I 37, hkl 4 2 2
69.19 deg, I 11, hkl 4 4 0
78.81 deg, I 16, hkl 6 2 0

***

Record 5
# FeS2
Calculated XRD peak list, CuKα. Input: a structure optimized by DFT (GGA-PBE).
Lines closer than 0.1° are merged.

a b c (Å): 4.4383 5.4110 3.3903
angles (deg): 90.00 90.00 90.00
Space group Pnnm (No. 58)
Unique sites:
Fe (0.0000, 0.0000, 0.0000)
S (0.2060, 0.3753, 0.0000)

Main lines, in order of rising 2θ (2θ from 10° to 80°):
25.96 deg, I 69, hkl 1 1 0
33.11 deg, I 30, hkl 0 2 0
33.25 deg, I 100, hkl 1 0 1
37.28 deg, I 48, hkl 1 1 1
38.99 deg, I 41, hkl 1 2 0
47.63 deg, I 40, hkl 1 2 1
52.08 deg, I 82, hkl 2 1 1
53.40 deg, I 14, hkl 2 2 0
54.10 deg, I 29, hkl 0 0 2
54.95 deg, I 18, hkl 1 3 0
57.91 deg, I 33, hkl 0 3 1
65.40 deg, I 18, hkl 3 1 0

***

Record 6
# MgInO3
Calculated XRD peak list, CuKα. Input: a structure optimized by DFT (GGA-PBE).
Lines closer than 0.1° are merged.

a b c (Å): 3.8837 3.8837 3.8837
angles (deg): 90.00 90.00 90.00
Space group Pm-3m (No. 221)
Unique sites:
Mg (0.0000, 0.0000, 0.0000)
In (0.5000, 0.5000, 0.5000)
O (0.0000, 0.0000, 0.5000)

Main lines, in order of rising 2θ (2θ from 10° to 80°):
22.90 deg, I 41, hkl 1 0 0
32.61 deg, I 100, hkl 1 1 0
40.22 deg, I 46, hkl 1 1 1
46.78 deg, I 40, hkl 2 0 0
52.70 deg, I 19, hkl 2 1 0
58.19 deg, I 38, hkl 2 1 1
68.31 deg, I 23, hkl 2 2 0
73.10 deg, I 9, hkl 3 0 0
77.76 deg, I 16, hkl 3 1 0

***

Record 7
# RbCoCuS2
Calculated XRD peak list, CuKα. Input: a structure optimized by DFT (GGA-PBE).
Lines closer than 0.1° are merged.

a b c (Å): 3.9073 3.9073 13.0370
angles (deg): 90.00 90.00 90.00
Space group I-4m2 (No. 119)
Unique sites:
Rb (0.0000, 0.0000, 0.0000)
Co (0.0000, 0.5000, 0.2500)
Cu (0.0000, 0.5000, 0.7500)
S (0.0000, 0.0000, 0.3404)

Main lines, in order of rising 2θ (2θ from 10° to 80°):
13.58 deg, I 42, hkl 0 0 2
23.77 deg, I 19, hkl 1 0 1
27.36 deg, I 41, hkl 0 0 4
30.77 deg, I 94, hkl 1 0 3
35.28 deg, I 100, hkl 1 1 2
42.91 deg, I 12, hkl 1 1 4
46.48 deg, I 49, hkl 2 0 0
53.66 deg, I 61, hkl 1 1 6
54.78 deg, I 23, hkl 2 0 4
56.79 deg, I 30, hkl 2 1 3
67.84 deg, I 15, hkl 2 2 0
78.85 deg, I 17, hkl 3 1 2

***

Record 8
# LaMg
Calculated XRD peak list, CuKα. Input: a structure optimized by DFT (GGA-PBE).
Lines closer than 0.1° are merged.

a b c (Å): 5.6145 3.8245 5.8051
angles (deg): 90.00 90.00 90.00
Space group Pmma (No. 51)
Unique sites:
La (0.2500, 0.0000, 0.1994)
Mg (0.2500, 0.5000, 0.6863)

Main lines, in order of rising 2θ (2θ from 10° to 80°):
22.02 deg, I 62, hkl 1 0 1
23.26 deg, I 30, hkl 0 1 0
30.81 deg, I 20, hkl 0 0 2
31.88 deg, I 29, hkl 2 0 0
32.25 deg, I 100, hkl 1 1 1
34.79 deg, I 17, hkl 1 0 2
38.95 deg, I 11, hkl 0 1 2
39.83 deg, I 15, hkl 2 1 0
44.92 deg, I 14, hkl 2 0 2
53.01 deg, I 21, hkl 0 1 3
57.04 deg, I 19, hkl 3 1 1
63.23 deg, I 11, hkl 2 1 3